Simulated powder XRD pattern of Fe3Co5O16 for copper Kα, from a structure optimized by DFT (PBE+U).

Atomic structure:
```
data_Fe3Co5O16
_chemical_formula_sum 'Fe6 Co10 O32'
_cell_length_a 9.9544
_cell_length_b 5.7138
_cell_length_c 8.5537
_cell_angle_alpha 90.00
_cell_angle_beta 91.92
_cell_angle_gamma 90.00
_space_group_name_H-M_alt 'C 1 m 1'
_space_group_IT_number 8
loop_
_space_group_symop_operation_xyz
'x,y,z'
'x,-y,z'
'x+1/2,y+1/2,z'
'x+1/2,-y+1/2,z'
loop_
_atom_site_label
_atom_site_fract_x
_atom_site_fract_y
_atom_site_fract_z
Fe1 0.0000 0.0000 0.0000
Fe2 0.4163 0.2499 0.5007
Co1 0.0037 0.5000 0.2223
Co2 0.1652 0.5000 0.5058
Co3 0.1661 0.0000 0.7237
Co4 0.2508 0.2486 0.0031
O1 0.0045 0.0000 0.6134
O2 0.0050 0.5000 0.6140
O3 0.0804 0.2907 0.3633
O4 0.0995 0.2191 0.8660
O5 0.1685 0.5000 0.1014
O6 0.1705 0.0000 0.1119
O7 0.2440 0.2455 0.6127
O8 0.3108 0.0000 0.8756
O9 0.3262 0.5000 0.3941
O10 0.3296 0.5000 0.8921
O11 0.3580 0.0000 0.3551
O12 0.4162 0.2465 0.1098
```

Peak list (10 most intense, 2θ = 15–90°, most intense first)
Position (°2θ)  d_spacing  I/Imax
20.82  4.267  100
20.57  4.318  44
37.27  2.413  31
37.99  2.368  31
65.04  1.434  28
20.35  4.364  24
48.27  1.885  21
37.63  2.390  21
49.13  1.854  19
38.29  2.350  18